(1)
The following is a theoretical powder diffractogram of Sc10Si3As3. It was derived from a PBE-relaxed structure, using Cu Kα (λ = 1.5418 Å).
No peak broadening, texture or thermal motion is included.

Structure:
Unit cell a=7.9064 b=7.9064 c=5.7748 alpha=90.00 beta=90.00 gamma=120.00
Space group P-62m (No. 189)
Asymmetric unit:
Sc: 0.0000 0.2442 0.0000 x3
Sc: 0.0000 0.7558 0.5000 x3
Sc: 0.3333 0.6667 0.2536 x4
Si: 0.0000 0.3909 0.5000 x3
As: 0.0000 0.6090 0.0000 x3

Most intense lines, 2θ = 10–90°, sorted by position:
(0 0 2), 30.97 deg, intensity 25
(2 1 0), 34.66 deg, intensity 28
(2 1 1), 38.10 deg, intensity 100
(1 1 2), 38.61 deg, intensity 85
(3 0 0), 39.48 deg, intensity 47
(2 1 3), 59.88 deg, intensity 24

(2)
The following is a theoretical powder diffractogram of SmSc4As5. It was derived from a PBE-relaxed structure, using Cu Kα (λ = 1.5418 Å).
No peak broadening, texture or thermal motion is included.

Structure:
Unit cell a=3.946 b=5.619 c=19.716 alpha=90.00 beta=90.00 gamma=90.00
Space group Immm (No. 71)
Asymmetric unit:
Sm: 0.000 0.000 0.000 x2
Sc: 0.000 0.000 0.204 x4
Sc: 0.000 0.000 0.399 x4
As: 0.000 0.500 0.000 x2
As: 0.000 0.500 0.199 x4
As: 0.000 0.500 0.392 x4

Most intense lines, 2θ = 10–90°, sorted by position:
(0 2 0), 31.85 deg, intensity 52
(1 0 5), 32.09 deg, intensity 100
(1 2 5), 45.84 deg, intensity 72
(2 0 0), 46.02 deg, intensity 35
(2 2 0), 57.05 deg, intensity 36
(3 0 5), 76.25 deg, intensity 22

(3)
The following is a theoretical powder diffractogram of SmSc5As4. It was derived from a PBE-relaxed structure, using Cu Kα (λ = 1.5418 Å).
No peak broadening, texture or thermal motion is included.

Structure:
Unit cell a=8.508 b=9.431 c=6.383 alpha=90.00 beta=90.00 gamma=90.00
Space group Pmmn (No. 59, origin choice 2)
Asymmetric unit:
Sm: 0.250 0.250 0.161 x2
Sc: 0.004 0.039 0.745 x8
Sc: 0.250 0.750 0.761 x2
As: 0.008 0.250 0.469 x4
As: 0.250 0.526 0.999 x4

Most intense lines, 2θ = 10–90°, sorted by position:
(0 1 1), 16.77 deg, intensity 37
(2 0 1), 25.16 deg, intensity 89
(2 1 1), 26.90 deg, intensity 33
(0 3 1), 31.73 deg, intensity 32
(2 2 2), 40.17 deg, intensity 100
(4 0 0), 42.50 deg, intensity 33

(4)
The following is a theoretical powder diffractogram of SmSc2UAs4. It was derived from a PBE-relaxed structure, using Cu Kα (λ = 1.5418 Å).
No peak broadening, texture or thermal motion is included.

Structure:
Unit cell a=5.712 b=5.712 c=11.314 alpha=90.00 beta=90.00 gamma=90.00
Space group I-4m2 (No. 119)
Asymmetric unit:
Sm: 0.000 0.000 0.000 x2
Sc: 0.000 0.000 0.500 x2
Sc: 0.000 0.500 0.250 x2
U: 0.000 0.500 0.750 x2
As: 0.000 0.000 0.258 x4
As: 0.000 0.500 0.001 x4

Most intense lines, 2θ = 10–90°, sorted by position:
(1 0 1), 17.39 deg, intensity 54
(2 0 0), 31.32 deg, intensity 100
(0 0 4), 31.63 deg, intensity 48
(2 2 0), 44.88 deg, intensity 37
(2 0 4), 45.11 deg, intensity 72
(2 2 4), 55.95 deg, intensity 38

(5)
The following is a theoretical powder diffractogram of Sc3SnAs. It was derived from a PBE-relaxed structure, using Cu Kα (λ = 1.5418 Å).
No peak broadening, texture or thermal motion is included.

Structure:
Unit cell a=9.687 b=13.290 c=3.748 alpha=90.00 beta=90.00 gamma=90.00
Space group Cmmm (No. 65)
Asymmetric unit:
Sc: 0.000 0.183 0.000 x4
Sc: 0.188 0.380 0.500 x8
Sn: 0.000 0.000 0.500 x2
Sn: 0.000 0.500 0.000 x2
As: 0.250 0.250 0.000 x4

Most intense lines, 2θ = 10–90°, sorted by position:
(2 2 0), 22.72 deg, intensity 84
(1 3 1), 32.64 deg, intensity 100
(4 0 0), 37.12 deg, intensity 26
(3 1 1), 37.38 deg, intensity 46
(2 4 1), 40.79 deg, intensity 30
(2 6 0), 45.00 deg, intensity 31

(6)
The following is a theoretical powder diffractogram of ScTaAs. It was derived from a PBE-relaxed structure, using Cu Kα (λ = 1.5418 Å).
No peak broadening, texture or thermal motion is included.

Structure:
Unit cell a=3.906 b=3.906 c=14.630 alpha=90.00 beta=90.00 gamma=90.00
Space group I4/mmm (No. 139)
Asymmetric unit:
Sc: 0.000 0.000 0.174 x4
Ta: 0.000 0.500 0.000 x4
As: 0.000 0.000 0.363 x4

Most intense lines, 2θ = 10–90°, sorted by position:
(0 0 2), 12.10 deg, intensity 100
(1 1 2), 34.72 deg, intensity 80
(0 0 6), 36.86 deg, intensity 24
(1 1 4), 40.94 deg, intensity 78
(2 0 0), 46.50 deg, intensity 34
(2 0 6), 60.75 deg, intensity 29

(7)
The following is a theoretical powder diffractogram of Sc3TeAs2. It was derived from a PBE-relaxed structure, using Cu Kα (λ = 1.5418 Å).
No peak broadening, texture or thermal motion is included.

Structure:
Unit cell a=4.003 b=4.003 c=16.683 alpha=90.00 beta=90.00 gamma=90.00
Space group I4/mmm (No. 139)
Asymmetric unit:
Sc: 0.000 0.000 0.000 x2
Sc: 0.000 0.000 0.324 x4
Te: 0.000 0.000 0.500 x2
As: 0.000 0.000 0.164 x4

Most intense lines, 2θ = 10–90°, sorted by position:
(1 0 3), 27.45 deg, intensity 35
(1 1 0), 31.61 deg, intensity 100
(0 0 6), 32.19 deg, intensity 46
(2 0 0), 45.31 deg, intensity 36
(1 1 6), 45.74 deg, intensity 67
(2 0 6), 56.66 deg, intensity 35

(8)
The following is a theoretical powder diffractogram of Sc5Te5As. It was derived from a PBE-relaxed structure, using Cu Kα (λ = 1.5418 Å).
No peak broadening, texture or thermal motion is included.

Structure:
Unit cell a=12.914 b=5.820 c=8.166 alpha=90.00 beta=108.76 gamma=90.00
Space group C2/m (No. 12)
Asymmetric unit:
Sc: 0.000 0.000 0.000 x2
Sc: 0.154 0.500 0.314 x4
Sc: 0.158 0.500 0.843 x4
Te: 0.000 0.500 0.500 x2
Te: 0.163 0.000 0.823 x4
Te: 0.171 0.000 0.336 x4
As: 0.000 0.500 0.000 x2

Most intense lines, 2θ = 10–90°, sorted by position:
(3 1 0), 26.69 deg, intensity 100
(0 2 0), 30.73 deg, intensity 67
(4 0 -2), 30.91 deg, intensity 65
(2 0 2), 31.09 deg, intensity 63
(4 2 -2), 44.14 deg, intensity 47
(2 2 2), 44.31 deg, intensity 69

(9)
The following is a theoretical powder diffractogram of ThSc5As2. It was derived from a PBE-relaxed structure, using Cu Kα (λ = 1.5418 Å).
No peak broadening, texture or thermal motion is included.

Structure:
Unit cell a=3.865 b=8.672 c=10.835 alpha=90.00 beta=90.00 gamma=90.00
Space group Immm (No. 71)
Asymmetric unit:
Th: 0.000 0.000 0.000 x2
Sc: 0.000 0.201 0.353 x8
Sc: 0.000 0.500 0.000 x2
As: 0.000 0.500 0.263 x4

Most intense lines, 2θ = 10–90°, sorted by position:
(0 1 1), 13.08 deg, intensity 58
(1 1 2), 30.22 deg, intensity 74
(1 2 1), 32.09 deg, intensity 100
(1 0 3), 33.97 deg, intensity 61
(0 2 4), 39.21 deg, intensity 53
(1 3 2), 42.47 deg, intensity 41

(10)
The following is a theoretical powder diffractogram of Th4ScAs6. It was derived from a PBE-relaxed structure, using Cu Kα (λ = 1.5418 Å).
No peak broadening, texture or thermal motion is included.

Structure:
Unit cell a=11.5573 b=11.5573 c=14.2701 alpha=90.00 beta=90.00 gamma=120.00
Space group R-3c (No. 167, hexagonal axes)
Asymmetric unit:
Th: 0.0000 0.0000 0.2500 x6
Th: 0.0000 0.3817 0.2500 x18
Sc: 0.0000 0.0000 0.0000 x6
As: 0.0300 0.2039 0.3896 x36

Most intense lines, 2θ = 10–90°, sorted by position:
(1 1 3), 24.23 deg, intensity 65
(3 0 0), 26.71 deg, intensity 100
(1 3 1), 32.87 deg, intensity 69
(2 1 4), 34.56 deg, intensity 41
(2 2 3), 36.38 deg, intensity 81
(5 0 2), 47.10 deg, intensity 56

(11)
The following is a theoretical powder diffractogram of YThSc2As4. It was derived from a PBE-relaxed structure, using Cu Kα (λ = 1.5418 Å).
No peak broadening, texture or thermal motion is included.

Structure:
Unit cell a=6.965 b=4.061 c=7.017 alpha=90.00 beta=109.61 gamma=90.00
Space group P2/m (No. 10)
Asymmetric unit:
Y: 0.000 0.000 0.000 x1
Th: 0.000 0.500 0.500 x1
Sc: 0.500 0.000 0.500 x1
Sc: 0.500 0.500 0.000 x1
As: 0.268 0.500 0.253 x2
As: 0.271 0.000 0.761 x2

Most intense lines, 2θ = 10–90°, sorted by position:
(1 0 0), 13.46 deg, intensity 22
(0 1 1), 25.77 deg, intensity 22
(1 1 1), 31.28 deg, intensity 100
(0 2 0), 44.68 deg, intensity 37
(3 1 -1), 44.98 deg, intensity 35
(2 2 -2), 55.55 deg, intensity 19

(12)
The following is a theoretical powder diffractogram of ScTi3As3. It was derived from a PBE-relaxed structure, using Cu Kα (λ = 1.5418 Å).
No peak broadening, texture or thermal motion is included.

Structure:
Unit cell a=7.0907 b=7.0907 c=19.8474 alpha=90.00 beta=90.00 gamma=120.00
Space group R-3 (No. 148, hexagonal axes)
Asymmetric unit:
Sc: 0.0000 0.0000 0.1647 x6
Ti: 0.0077 0.7340 0.6212 x18
As: 0.0070 0.6212 0.4181 x18

Most intense lines, 2θ = 10–90°, sorted by position:
(1 1 0), 25.12 deg, intensity 53
(2 -1 3), 28.56 deg, intensity 88
(2 -1 6), 37.17 deg, intensity 100
(3 -2 2), 39.89 deg, intensity 45
(3 0 0), 44.25 deg, intensity 68
(1 1 9), 48.62 deg, intensity 67